Simulated powder XRD pattern of Zn2BiAu4 for copper Kα, from a cell relaxed with GGA-PBE.
Peak positions follow from Bragg's law for the DFT cell and can differ from measured ones.

Atomic structure:
Lattice parameters (Å, degrees): 5.8793 7.2978 13.0964 90.00 92.21 90.00
Space group C2/c (No. 15)
One atom of each set of equivalent atoms:
Zn1 0.1570 0.0859 0.0671
Bi1 0.0000 0.2433 0.7500
Au1 0.0000 0.1652 0.2500
Au2 0.1172 0.4447 0.1105
Au3 0.2500 0.2500 0.5000

Top 6 peaks for 10° ≤ 2θ ≤ 90°, low angle first:
two_theta	I_rel
23.38	32
27.83	39
33.93	100
36.90	80
40.84	76
41.41	78